1.
Calculated X-ray diffraction stick pattern
Compound: Ba2MnCl6
Radiation: copper Kα
Structure: a cell relaxed with GGA-PBE
Peak positions follow from Bragg's law for the DFT cell and can differ from measured ones.

Crystal structure
Cell: 6.822 8.069 11.646 Å, 90.00 123.76 90.00°
Atoms (fractional coordinates):
Ba 0.219 0.106 0.257
Ba 0.219 0.394 0.757
Ba 0.781 0.606 0.243
Ba 0.781 0.894 0.743
Mn 0.500 0.000 0.000
Mn 0.500 0.500 0.500
Cl 0.138 0.157 0.952
Cl 0.138 0.343 0.452
Cl 0.293 0.710 0.946
Cl 0.293 0.790 0.446
Cl 0.353 0.026 0.752
Cl 0.353 0.474 0.252
Cl 0.647 0.526 0.748
Cl 0.647 0.974 0.248
Cl 0.707 0.210 0.554
Cl 0.707 0.290 0.054
Cl 0.862 0.657 0.548
Cl 0.862 0.843 0.048

Top 10 peaks for 10° ≤ 2θ ≤ 90°, sorted by position:
2θ/deg	I_rel
17.03	60.9
19.13	85.4
19.58	80.0
23.89	91.4
24.76	61.3
25.47	67.1
35.62	79.9
35.92	96.0
36.99	76.8
37.18	100.0



2.
Calculated X-ray diffraction stick pattern
Compound: NaLi3Hg2
Radiation: copper Kα
Structure: a cell relaxed with GGA-PBE
Peak positions follow from Bragg's law for the DFT cell and can differ from measured ones.

Crystal structure
Cell: 7.649 7.649 9.506 Å, 124.58 124.58 34.28°
Atoms (fractional coordinates):
Na 0.112 0.112 0.495
Na 0.888 0.888 0.505
Li 0.061 0.061 0.913
Li 0.261 0.261 0.899
Li 0.414 0.414 0.780
Li 0.586 0.586 0.220
Li 0.739 0.739 0.101
Li 0.939 0.939 0.087
Hg 0.205 0.205 0.267
Hg 0.411 0.411 0.261
Hg 0.589 0.589 0.739
Hg 0.795 0.795 0.733

Top 10 peaks for 10° ≤ 2θ ≤ 90°, sorted by position:
2θ/deg	I_rel
21.83	100.0
23.26	75.6
25.18	44.3
26.25	74.9
29.78	35.8
36.64	66.1
37.14	37.9
40.00	27.7
43.38	33.4
44.32	29.0